Calculated powder X-ray diffraction pattern of WS2 for CuKα, from DFT lattice parameters and positions (PBE).
Peak positions follow from Bragg's law for the DFT cell and can differ from measured ones.

The 10 most intense peaks (2θ from 10° to 90°), most intense first:
11.31°, intensity 100.0, hkl 0 0 4
14.15°, intensity 36.7, hkl 0 0 5
38.29°, intensity 29.6, hkl 1 0 7
45.77°, intensity 26.4, hkl 1 0 11
36.81°, intensity 19.8, hkl 1 0 6
32.92°, intensity 19.0, hkl 1 0 2
32.40°, intensity 12.8, hkl 1 0 0
57.78°, intensity 12.7, hkl 1 1 0
34.42°, intensity 12.1, hkl 1 0 4
59.09°, intensity 9.3, hkl 1 1 4

Structural model:
Cell lengths 3.1907, 3.1907, 31.3036 Å; angles 90.00, 90.00, 120.00 degrees
Sites, in units of the cell vectors:
W 0.0000 0.0000 0.0000
W 0.6667 0.3333 0.2268
W 0.6667 0.3333 0.7732
S 0.0000 0.0000 0.1766
S 0.0000 0.0000 0.2771
S 0.0000 0.0000 0.7229
S 0.0000 0.0000 0.8234
S 0.6667 0.3333 0.0503
S 0.6667 0.3333 0.9497